Diffraction record for CoC2N2. The powder X-ray diffraction pattern is computed, not measured: it uses a DFT-relaxed cell (GGA-PBE, OQMD) and Cu Ka.
Kinematic intensities with the Lorentz-polarization factor, no thermal factor.

Structural model:
Unit cell a=5.7167 b=5.7167 c=5.7167 alpha=90.00 beta=90.00 gamma=90.00
Positions (direct):
1 Co 0.0000 0.0000 0.0000
2 Co 0.5000 0.5000 0.5000
3 C 0.1913 0.1913 0.1913
4 C 0.1913 0.8087 0.8087
5 C 0.8087 0.1913 0.8087
6 C 0.8087 0.8087 0.1913
7 N 0.3098 0.3098 0.3098
8 N 0.3098 0.6902 0.6902
9 N 0.6902 0.3098 0.6902
10 N 0.6902 0.6902 0.3098

The 8 most intense peaks (10 to 80 degrees two-theta), in order of rising 2θ:
- 2θ = 21.99°, rel. 100
- 2θ = 27.02°, rel. 15
- 2θ = 38.58°, rel. 31
- 2θ = 44.84°, rel. 22
- 2θ = 50.48°, rel. 10
- 2θ = 60.61°, rel. 23
- 2θ = 69.80°, rel. 11
- 2θ = 74.18°, rel. 4



Diffraction record for Nb4Co2CN. The powder X-ray diffraction pattern is computed, not measured: it uses a DFT-relaxed cell (GGA-PBE, OQMD) and Cu Ka.
Kinematic intensities with the Lorentz-polarization factor, no thermal factor.

Structural model:
Unit cell a=3.0961 b=3.0961 c=12.8643 alpha=90.00 beta=90.00 gamma=120.00
Positions (direct):
1 Nb 0.3333 0.6667 0.0987
2 Nb 0.3333 0.6667 0.4022
3 Nb 0.6667 0.3333 0.5978
4 Nb 0.6667 0.3333 0.9013
5 Co 0.3333 0.6667 0.7483
6 Co 0.6667 0.3333 0.2517
7 C 0.0000 0.0000 0.0000
8 N 0.0000 0.0000 0.5000

The 8 most intense peaks (10 to 80 degrees two-theta), in order of rising 2θ:
- 2θ = 33.42°, rel. 23
- 2θ = 39.64°, rel. 100
- 2θ = 42.15°, rel. 14
- 2θ = 54.82°, rel. 12
- 2θ = 59.73°, rel. 22
- 2θ = 74.09°, rel. 15
- 2θ = 75.35°, rel. 8
- 2θ = 75.79°, rel. 14



Diffraction record for Nb8Co2C3N3. The powder X-ray diffraction pattern is computed, not measured: it uses a DFT-relaxed cell (GGA-PBE, OQMD) and Cu Ka.
Kinematic intensities with the Lorentz-polarization factor, no thermal factor.

Structural model:
Unit cell a=3.1373 b=3.1373 c=23.0409 alpha=90.00 beta=90.00 gamma=120.00
Positions (direct):
1 Nb 0.0000 0.0000 0.1656
2 Nb 0.0000 0.0000 0.3321
3 Nb 0.0000 0.0000 0.6679
4 Nb 0.0000 0.0000 0.8344
5 Nb 0.3333 0.6667 0.5582
6 Nb 0.3333 0.6667 0.9414
7 Nb 0.6667 0.3333 0.0586
8 Nb 0.6667 0.3333 0.4418
9 Co 0.3333 0.6667 0.7534
10 Co 0.6667 0.3333 0.2466
11 C 0.0000 0.0000 0.5000
12 C 0.3333 0.6667 0.3845
13 C 0.6667 0.3333 0.6155
14 N 0.0000 0.0000 0.0000
15 N 0.3333 0.6667 0.1141
16 N 0.6667 0.3333 0.8859

The 8 most intense peaks (10 to 80 degrees two-theta), in order of rising 2θ:
- 2θ = 33.20°, rel. 20
- 2θ = 33.90°, rel. 30
- 2θ = 36.57°, rel. 20
- 2θ = 38.46°, rel. 67
- 2θ = 39.09°, rel. 19
- 2θ = 40.68°, rel. 100
- 2θ = 58.88°, rel. 58
- 2θ = 74.03°, rel. 19